No. 1
Structure and computed XRD peak list of GaPdAu5 (a cell relaxed with GGA-PBE; Cu Kα, 1.54184 Å).

Crystal structure
```
GaPdAu5
1.0
5.2715 0.0000 0.0000
0.0000 7.2356 0.0000
0.0000 0.0000 7.3785
Ga Pd Au
2 2 10
Direct
0.0000 0.0000 0.0000 Ga
0.5000 0.5000 0.5000 Ga
0.0000 0.5000 0.5092 Pd
0.5000 0.0000 0.0092 Pd
0.0000 0.0000 0.3343 Au
0.0000 0.3108 0.8430 Au
0.0000 0.6892 0.8430 Au
0.2467 0.5000 0.1674 Au
0.2533 0.0000 0.6674 Au
0.5000 0.1892 0.3430 Au
0.5000 0.5000 0.8343 Au
0.5000 0.8108 0.3430 Au
0.7467 0.0000 0.6674 Au
0.7533 0.5000 0.1674 Au
```

Most intense lines, 2θ from 15° to 90°, low angle first:
24.6 deg, rel. 416
32.4 deg, rel. 869
38.3 deg, rel. 1000
38.7 deg, rel. 913
42.1 deg, rel. 652
48.3 deg, rel. 400

***

No. 2
Structure and computed XRD peak list of ErThPt4 (a cell relaxed with GGA-PBE; Cu Kα, 1.54184 Å).

Crystal structure
```
ErThPt4
1.0
0.0000 3.8751 3.8751
3.8751 0.0000 3.8751
3.8751 3.8751 0.0000
Er Th Pt
1 1 4
Direct
0.0000 0.0000 0.0000 Er
0.7500 0.7500 0.7500 Th
0.3745 0.3745 0.3745 Pt
0.3745 0.3745 0.8765 Pt
0.3745 0.8765 0.3745 Pt
0.8765 0.3745 0.3745 Pt
```

Most intense lines, 2θ from 15° to 90°, low angle first:
32.7 deg, rel. 270
38.5 deg, rel. 1000
40.3 deg, rel. 400
62.2 deg, rel. 335
68.5 deg, rel. 290
82.6 deg, rel. 157

***

No. 3
Structure and computed XRD peak list of DyNpOs (a cell relaxed with GGA-PBE; Cu Kα, 1.54184 Å).

Crystal structure
```
DyNpOs
1.0
3.7445 0.0000 0.0000
0.0000 3.7445 0.0000
0.0000 0.0000 23.3737
Dy Np Os
4 4 4
Direct
0.0000 0.0000 0.0770 Dy
0.0000 0.0000 0.9230 Dy
0.5000 0.5000 0.4230 Dy
0.5000 0.5000 0.5770 Dy
0.0000 0.0000 0.3223 Np
0.0000 0.0000 0.6777 Np
0.5000 0.5000 0.1777 Np
0.5000 0.5000 0.8223 Np
0.0000 0.0000 0.1971 Os
0.0000 0.0000 0.8029 Os
0.5000 0.5000 0.3029 Os
0.5000 0.5000 0.6971 Os
```

Most intense lines, 2θ from 15° to 90°, low angle first:
30.6 deg, rel. 562
33.9 deg, rel. 1000
36.0 deg, rel. 454
46.3 deg, rel. 608
48.6 deg, rel. 368
58.6 deg, rel. 337

***

No. 4
Structure and computed XRD peak list of CeGd2Ho (a cell relaxed with GGA-PBE; Cu Kα, 1.54184 Å).

Crystal structure
```
CeGd2Ho
1.0
8.0250 0.0000 0.0000
0.0000 8.0250 0.0000
0.0000 0.0000 8.0250
Ce Gd Ho
4 8 4
Direct
0.0000 0.0000 0.0000 Ce
0.0000 0.5000 0.5000 Ce
0.5000 0.0000 0.5000 Ce
0.5000 0.5000 0.0000 Ce
0.2500 0.2500 0.2500 Gd
0.2500 0.2500 0.7500 Gd
0.2500 0.7500 0.2500 Gd
0.2500 0.7500 0.7500 Gd
0.7500 0.2500 0.2500 Gd
0.7500 0.2500 0.7500 Gd
0.7500 0.7500 0.2500 Gd
0.7500 0.7500 0.7500 Gd
0.0000 0.0000 0.5000 Ho
0.0000 0.5000 0.0000 Ho
0.5000 0.0000 0.0000 Ho
0.5000 0.5000 0.5000 Ho
```

Most intense lines, 2θ from 15° to 90°, low angle first:
31.5 deg, rel. 1000
45.2 deg, rel. 186
56.1 deg, rel. 391
65.8 deg, rel. 121
74.8 deg, rel. 167
83.5 deg, rel. 42

***

No. 5
Structure and computed XRD peak list of NaLiMgPO4F (a cell relaxed with GGA-PBE; Cu Kα, 1.54184 Å).

Crystal structure
```
NaLiMgPO4F
1.0
6.9101 0.0000 0.0000
0.0000 11.3498 0.0000
-0.0192 0.0000 5.0753
Na Li Mg P O F
4 4 4 4 16 4
Direct
0.0123 0.1661 0.2448 Na
0.0123 0.3339 0.7448 Na
0.9877 0.6661 0.2552 Na
0.9877 0.8339 0.7552 Na
0.2345 0.0774 0.7374 Li
0.2345 0.4226 0.2374 Li
0.7655 0.5774 0.7626 Li
0.7655 0.9226 0.2626 Li
0.4814 0.1710 0.2624 Mg
0.4814 0.3290 0.7624 Mg
0.5186 0.6710 0.2376 Mg
0.5186 0.8290 0.7376 Mg
0.2541 0.5822 0.7292 P
0.2541 0.9178 0.2292 P
0.7459 0.0822 0.7708 P
0.7459 0.4178 0.2708 P
0.0429 0.6244 0.7636 O
0.0429 0.8756 0.2636 O
0.2822 0.0413 0.3567 O
0.2822 0.4587 0.8567 O
0.3024 0.5750 0.4284 O
0.3024 0.9250 0.9284 O
0.3918 0.6711 0.8693 O
0.3918 0.8289 0.3693 O
0.6082 0.1711 0.6307 O
0.6082 0.3289 0.1307 O
0.6976 0.0750 0.0716 O
0.6976 0.4250 0.5716 O
0.7178 0.5413 0.1433 O
0.7178 0.9587 0.6433 O
0.9571 0.1244 0.7364 O
0.9571 0.3756 0.2364 O
0.3011 0.2109 0.9600 F
0.3011 0.2891 0.4600 F
0.6989 0.7109 0.5400 F
0.6989 0.7891 0.0400 F
```

Most intense lines, 2θ from 15° to 90°, low angle first:
23.1 deg, rel. 1000
26.9 deg, rel. 604
30.3 deg, rel. 490
35.1 deg, rel. 303
35.4 deg, rel. 338
38.6 deg, rel. 482

***

No. 6
Structure and computed XRD peak list of CsKRb7Na2 (a cell relaxed with GGA-PBE; Cu Kα, 1.54184 Å).

Crystal structure
```
CsKRb7Na2
1.0
-3.8637 3.8637 15.4493
3.8637 -3.8637 15.4493
3.8637 3.8637 -15.4493
Cs K Rb Na
1 1 7 2
Direct
0.0000 0.0000 0.0000 Cs
0.2500 0.7500 0.5000 K
0.0692 0.5692 0.5000 Rb
0.1625 0.1625 0.0000 Rb
0.3461 0.3461 0.0000 Rb
0.4308 0.9308 0.5000 Rb
0.6539 0.6539 0.0000 Rb
0.7500 0.2500 0.5000 Rb
0.8375 0.8375 0.0000 Rb
0.5856 0.0856 0.5000 Na
0.9144 0.4144 0.5000 Na
```

Most intense lines, 2θ from 15° to 90°, low angle first:
23.0 deg, rel. 606
23.7 deg, rel. 1000
32.8 deg, rel. 243
40.9 deg, rel. 468
42.2 deg, rel. 158
64.0 deg, rel. 127

***

No. 7
Structure and computed XRD peak list of Nd4Ho4Tm (a cell relaxed with GGA-PBE; Cu Kα, 1.54184 Å).

Crystal structure
```
Nd4Ho4Tm
1.0
-5.3926 5.3926 2.5277
5.3926 -5.3926 2.5277
5.3926 5.3926 -2.5277
Nd Ho Tm
4 4 1
Direct
0.1663 0.1663 0.3326 Nd
0.1663 0.8337 0.0000 Nd
0.8337 0.1663 0.0000 Nd
0.8337 0.8337 0.6674 Nd
0.1652 0.5000 0.6652 Ho
0.5000 0.1652 0.6652 Ho
0.5000 0.8348 0.3348 Ho
0.8348 0.5000 0.3348 Ho
0.5000 0.5000 0.0000 Tm
```

Most intense lines, 2θ from 15° to 90°, low angle first:
30.5 deg, rel. 1000
35.3 deg, rel. 339
35.5 deg, rel. 167
50.9 deg, rel. 240
60.4 deg, rel. 288
60.7 deg, rel. 142

***

No. 8
Structure and computed XRD peak list of LaPm9Mg2 (a cell relaxed with GGA-PBE; Cu Kα, 1.54184 Å).

Crystal structure
```
LaPm9Mg2
1.0
5.0618 0.0000 0.0000
0.0000 5.0618 0.0000
0.0000 0.0000 15.2824
La Pm Mg
1 9 2
Direct
0.0000 0.0000 0.0000 La
0.0000 0.5000 0.1731 Pm
0.0000 0.5000 0.5000 Pm
0.0000 0.5000 0.8269 Pm
0.5000 0.0000 0.1731 Pm
0.5000 0.0000 0.5000 Pm
0.5000 0.0000 0.8269 Pm
0.5000 0.5000 0.0000 Pm
0.5000 0.5000 0.3387 Pm
0.5000 0.5000 0.6613 Pm
0.0000 0.0000 0.3381 Mg
0.0000 0.0000 0.6619 Mg
```

Most intense lines, 2θ from 15° to 90°, low angle first:
30.5 deg, rel. 1000
35.2 deg, rel. 166
35.5 deg, rel. 338
50.9 deg, rel. 234
60.3 deg, rel. 135
60.6 deg, rel. 283

***

No. 9
Structure and computed XRD peak list of Tb3Pm3YZn2 (a cell relaxed with GGA-PBE; Cu Kα, 1.54184 Å).

Crystal structure
```
Tb3Pm3YZn2
1.0
9.1636 0.0000 0.0000
-4.5818 7.9359 0.0000
0.0000 0.0000 3.6181
Tb Pm Y Zn
3 3 1 2
Direct
0.0000 0.3731 0.0000 Tb
0.3731 0.0000 0.0000 Tb
0.6269 0.6269 0.0000 Tb
0.0000 0.6842 0.5000 Pm
0.3158 0.3158 0.5000 Pm
0.6842 0.0000 0.5000 Pm
0.0000 0.0000 0.0000 Y
0.3333 0.6667 0.5000 Zn
0.6667 0.3333 0.5000 Zn
```

Most intense lines, 2θ from 15° to 90°, low angle first:
31.5 deg, rel. 1000
33.5 deg, rel. 194
33.9 deg, rel. 778
46.9 deg, rel. 268
59.1 deg, rel. 199
62.2 deg, rel. 266

***

No. 10
Structure and computed XRD peak list of DyNpSeO2 (a cell relaxed with GGA-PBE; Cu Kα, 1.54184 Å).

Crystal structure
```
DyNpSeO2
1.0
3.8271 0.0000 0.0000
0.0000 3.8271 0.0000
0.0000 0.0000 12.2048
Dy Np Se O
2 2 2 4
Direct
0.0000 0.0000 0.0000 Dy
0.5000 0.5000 0.5000 Dy
0.0000 0.0000 0.3000 Np
0.5000 0.5000 0.8000 Np
0.0000 0.0000 0.6537 Se
0.5000 0.5000 0.1537 Se
0.0000 0.5000 0.4056 O
0.0000 0.5000 0.9056 O
0.5000 0.0000 0.4056 O
0.5000 0.0000 0.9056 O
```

Most intense lines, 2θ from 15° to 90°, low angle first:
24.4 deg, rel. 245
32.1 deg, rel. 1000
33.1 deg, rel. 431
47.5 deg, rel. 209
56.6 deg, rel. 177
58.5 deg, rel. 368

***

No. 11
Structure and computed XRD peak list of Pr3Nd3YTe8 (a cell relaxed with GGA-PBE; Cu Kα, 1.54184 Å).

Crystal structure
```
Pr3Nd3YTe8
1.0
4.4911 2.5930 7.3494
-4.4911 2.5930 7.3494
0.0000 -5.1859 7.3494
Pr Nd Y Te
3 3 1 8
Direct
0.0000 0.5000 0.5000 Pr
0.5000 0.0000 0.5000 Pr
0.5000 0.5000 0.0000 Pr
0.0000 0.0000 0.5000 Nd
0.0000 0.5000 0.0000 Nd
0.5000 0.0000 0.0000 Nd
0.5000 0.5000 0.5000 Y
0.2492 0.2492 0.2492 Te
0.2495 0.7489 0.7489 Te
0.2511 0.2511 0.7505 Te
0.2511 0.7505 0.2511 Te
0.7489 0.2495 0.7489 Te
0.7489 0.7489 0.2495 Te
0.7505 0.2511 0.2511 Te
0.7508 0.7508 0.7508 Te
```

Most intense lines, 2θ from 15° to 90°, low angle first:
28.1 deg, rel. 1000
40.1 deg, rel. 763
49.7 deg, rel. 274
58.0 deg, rel. 128
65.7 deg, rel. 351
72.9 deg, rel. 194

***

No. 12
Structure and computed XRD peak list of GaI2 (a cell relaxed with GGA-PBE; Cu Kα, 1.54184 Å).

Crystal structure
```
GaI2
1.0
5.1738 0.0000 0.0000
0.0000 4.2513 0.0000
-2.3135 0.0000 6.9462
Ga I
1 2
Direct
0.0000 0.0000 0.0000 Ga
0.1189 0.5000 0.2637 I
0.4348 0.0000 0.8543 I
```

Most intense lines, 2θ from 15° to 90°, low angle first:
18.1 deg, rel. 286
18.5 deg, rel. 352
24.6 deg, rel. 1000
34.7 deg, rel. 275
42.1 deg, rel. 280
42.5 deg, rel. 364

***

No. 13
Structure and computed XRD peak list of VCoS3 (a cell relaxed with GGA-PBE; Cu Kα, 1.54184 Å).

Crystal structure
```
VCoS3
1.0
6.9087 0.0000 0.0000
0.0000 3.1687 0.0000
-2.7625 0.0000 8.1214
V Co S
2 2 6
Direct
0.0074 0.2500 0.1448 V
0.9926 0.7500 0.8552 V
0.1363 0.2500 0.4673 Co
0.8637 0.7500 0.5327 Co
0.1939 0.7500 0.6559 S
0.2302 0.2500 0.9952 S
0.2458 0.7500 0.3268 S
0.7542 0.2500 0.6732 S
0.7698 0.7500 0.0048 S
0.8061 0.2500 0.3441 S
```

Most intense lines, 2θ from 15° to 90°, low angle first:
34.8 deg, rel. 606
35.8 deg, rel. 646
41.2 deg, rel. 1000
42.7 deg, rel. 748
50.2 deg, rel. 911
51.5 deg, rel. 619

***

No. 14
Structure and computed XRD peak list of Mg2Ag2Hg3 (a cell relaxed with GGA-PBE; Cu Kα, 1.54184 Å).

Crystal structure
```
Mg2Ag2Hg3
1.0
10.1158 0.0000 0.0000
0.0000 3.8160 0.0000
-0.6195 0.0000 7.5113
Mg Ag Hg
4 4 6
Direct
0.0604 0.0000 0.2075 Mg
0.4396 0.5000 0.7925 Mg
0.5604 0.5000 0.2075 Mg
0.9396 0.0000 0.7925 Mg
0.1383 0.5000 0.9507 Ag
0.3617 0.0000 0.0493 Ag
0.6383 0.0000 0.9507 Ag
0.8617 0.5000 0.0493 Ag
0.0000 0.5000 0.5000 Hg
0.2218 0.0000 0.6699 Hg
0.2782 0.5000 0.3301 Hg
0.5000 0.0000 0.5000 Hg
0.7218 0.5000 0.6699 Hg
0.7782 0.0000 0.3301 Hg
```

Most intense lines, 2θ from 15° to 90°, low angle first:
28.0 deg, rel. 248
35.2 deg, rel. 1000
36.9 deg, rel. 945
38.6 deg, rel. 397
38.8 deg, rel. 363
47.7 deg, rel. 232